For Li2Cu2Si4O11, the PBE geometry in the Materials Project gives the theoretical X-ray diffraction stick pattern in this record (Cu Kα (λ = 1.5418 Å)).

Crystal structure
Lattice parameters (Å, degrees): 7.101 7.677 8.561 96.96 102.85 109.85
Space group P-1 (No. 2)
Symmetry-distinct sites (fractional):
1 Li 0.112 0.303 0.200 x2
2 Li 0.352 0.758 0.839 x2
3 Cu 0.132 0.889 0.600 x2
4 Cu 0.377 0.114 0.390 x2
5 Si 0.021 0.717 0.221 x2
6 Si 0.258 0.110 0.968 x2
7 Si 0.277 0.479 0.596 x2
8 Si 0.456 0.716 0.233 x2
9 O 0.104 0.234 0.945 x2
10 O 0.104 0.901 0.370 x2
11 O 0.137 0.469 0.732 x2
12 O 0.151 0.310 0.435 x2
13 O 0.171 0.906 0.839 x2
14 O 0.200 0.645 0.178 x2
15 O 0.321 0.103 0.157 x2
16 O 0.340 0.696 0.575 x2
17 O 0.417 0.093 0.624 x2
18 O 0.481 0.248 0.937 x2
19 O 0.493 0.461 0.706 x2

Principal peaks in the range 2θ from 15° to 90°, low angle first:
2theta, intensity, index
25.5, 10, 1 -2 1
26.0, 10, 1 1 -2
27.4, 10, 1 -1 2
27.5, 34, 0 1 2
29.7, 100, 2 -2 0
32.0, 11, 1 0 -3
32.6, 28, 0 1 -3
33.2, 37, 2 1 -1
37.9, 25, -2 1 3
42.7, 11, 2 2 -1
43.5, 15, 0 1 -4
51.9, 21, -4 1 1